1.
Diffraction record for Ti4Zn2Au5. The powder XRD pattern is theoretical, not measured: it uses a cell relaxed with GGA-PBE and Cu Kα X-rays.

Principal peaks in the range 10 to 90 degrees two-theta, in order of falling intensity:
2θ (°)  I (rel.)  index
38.84  100  3 0 -1
39.96  95  1 0 -4
31.58  77  0 1 0
40.47  55  2 0 3
42.63  37  2 1 1
32.64  35  1 0 3
12.59  33  1 0 0
50.88  31  3 1 -1
51.79  29  1 1 -4
52.22  28  2 1 3

Structural model:
a b c (Å): 7.0570 2.8334 9.2961
angles (deg): 90.00 94.83 90.00
Space group P2/m (No. 10)
Symmetry-distinct sites (fractional):
Ti  0.1661  0.0000  0.3894 x2
Ti  0.2870  0.0000  0.9444 x2
Zn  0.0546  0.5000  0.1306 x2
Au  0.1797  0.5000  0.6643 x2
Au  0.4258  0.5000  0.1946 x2
Au  0.5000  0.5000  0.5000 x1


2.
Diffraction record for TlCuAgCl5. The powder XRD pattern is theoretical, not measured: it uses a cell relaxed with GGA-PBE and Cu Kα X-rays.

Principal peaks in the range 10 to 90 degrees two-theta, in order of falling intensity:
2θ (°)  I (rel.)  index
23.93  100  1 3 0
24.47  81  2 0 0
20.79  77  1 1 -2
24.92  59  0 2 2
42.74  35  3 3 0
44.52  33  1 3 -4
14.32  33  1 1 -1
40.04  31  1 5 -2
29.44  29  0 4 1
29.73  27  1 1 -3

Structural model:
a b c (Å): 7.8785 12.9805 9.2684
angles (deg): 90.00 112.55 90.00
Space group C2/c (No. 15)
Symmetry-distinct sites (fractional):
Tl  0.0000  0.1837  0.2500 x4
Cu  0.0000  0.1586  0.7500 x4
Ag  0.0000  0.5000  0.0000 x4
Cl  0.0000  0.4298  0.2500 x4
Cl  0.0664  0.2695  0.5935 x8
Cl  0.1681  0.0425  0.9300 x8